[1]
Starting from a cell relaxed with PBE, the X-ray powder pattern of Pm2Th5C4 was simulated for Cu Ka.
Neutral-atom scattering factors, no anomalous dispersion.

Structural model:
a = 9.1642 Å, b = 9.1642 Å, c = 8.7738 Å
α = 116.55°, β = 116.55°, γ = 22.68°
Fractional positions:
1 Pm 0.1395 0.1395 0.4635
2 Pm 0.8605 0.8605 0.5365
3 Th 0.0000 0.0000 0.0000
4 Th 0.2109 0.2109 0.1323
5 Th 0.4346 0.4346 0.2640
6 Th 0.5654 0.5654 0.7360
7 Th 0.7891 0.7891 0.8677
8 C 0.1841 0.1841 0.8152
9 C 0.4296 0.4296 0.7593
10 C 0.5704 0.5704 0.2407
11 C 0.8159 0.8159 0.1848

Main lines, by intensity (10° ≤ 2θ ≤ 80°):
2θ (°)	I (rel.)
30.85	100
29.37	62
32.52	61
35.29	44
26.75	38
60.50	31
52.27	25
37.60	22
52.18	19
59.64	18

***

[2]
Starting from a cell relaxed with PBE, the X-ray powder pattern of Zr5OsAu was simulated for Cu Ka.
Neutral-atom scattering factors, no anomalous dispersion.

Structural model:
a = 5.4085 Å, b = 5.4085 Å, c = 10.7526 Å
α = 101.17°, β = 101.17°, γ = 82.66°
Fractional positions:
1 Zr 0.0231 0.9769 0.7500
2 Zr 0.0651 0.4662 0.1331
3 Zr 0.2219 0.5237 0.4484
4 Zr 0.4662 0.0651 0.6331
5 Zr 0.4763 0.7781 0.0516
6 Zr 0.5237 0.2219 0.9484
7 Zr 0.5338 0.9349 0.3669
8 Zr 0.7781 0.4763 0.5516
9 Zr 0.9349 0.5338 0.8669
10 Zr 0.9769 0.0231 0.2500
11 Os 0.0000 0.0000 0.0000
12 Os 0.0000 0.0000 0.5000
13 Au 0.4174 0.5826 0.7500
14 Au 0.5826 0.4174 0.2500

Main lines, by intensity (10° ≤ 2θ ≤ 80°):
2θ (°)	I (rel.)
36.20	100
33.94	69
33.31	45
33.52	37
35.46	35
21.81	33
43.06	33
22.66	28
39.55	28
44.45	25

***

[3]
Starting from a cell relaxed with PBE, the X-ray powder pattern of Nb3CuAg was simulated for Cu Ka.
Neutral-atom scattering factors, no anomalous dispersion.

Structural model:
a = 4.6752 Å, b = 4.6752 Å, c = 4.6752 Å
α = 90.00°, β = 90.00°, γ = 90.00°
Fractional positions:
1 Nb 0.0000 0.0000 0.5000
2 Nb 0.0000 0.5000 0.0000
3 Nb 0.5000 0.0000 0.0000
4 Cu 0.0000 0.0000 0.0000
5 Ag 0.5000 0.5000 0.5000

Main lines, by intensity (10° ≤ 2θ ≤ 80°):
2θ (°)	I (rel.)
33.19	100
38.51	100
55.60	66
66.31	38
69.67	22
26.97	18
18.98	8
47.65	7
43.27	4
76.19	3

***

[4]
Starting from a cell relaxed with PBE, the X-ray powder pattern of PmDy2Ho2Tm2 was simulated for Cu Ka.
Neutral-atom scattering factors, no anomalous dispersion.

Structural model:
a = 11.1597 Å, b = 5.0024 Å, c = 7.9098 Å
α = 90.00°, β = 98.16°, γ = 90.00°
Fractional positions:
1 Pm 0.0000 0.0000 0.0000
2 Pm 0.5000 0.5000 0.0000
3 Dy 0.1427 0.0000 0.4298
4 Dy 0.3573 0.5000 0.5702
5 Dy 0.6427 0.5000 0.4298
6 Dy 0.8573 0.0000 0.5702
7 Ho 0.0718 0.5000 0.7140
8 Ho 0.4282 0.0000 0.2860
9 Ho 0.5718 0.0000 0.7140
10 Ho 0.9282 0.5000 0.2860
11 Tm 0.2144 0.5000 0.1434
12 Tm 0.2856 0.0000 0.8566
13 Tm 0.7144 0.0000 0.1434
14 Tm 0.7856 0.5000 0.8566

Main lines, by intensity (10° ≤ 2θ ≤ 80°):
2θ (°)	I (rel.)
30.99	100
51.73	36
35.91	34
61.50	29
35.99	17
61.60	14
64.56	6
64.62	6
76.12	4
76.31	2

***

[5]
Starting from a cell relaxed with PBE, the X-ray powder pattern of ZrPd2Au5 was simulated for Cu Ka.
Neutral-atom scattering factors, no anomalous dispersion.

Structural model:
a = 5.0396 Å, b = 7.5954 Å, c = 7.9231 Å
α = 105.41°, β = 90.17°, γ = 102.99°
Fractional positions:
1 Zr 0.1169 0.0245 0.2002
2 Zr 0.8831 0.9755 0.7998
3 Pd 0.1460 0.7213 0.3101
4 Pd 0.4476 0.1481 0.9429
5 Pd 0.5524 0.8519 0.0571
6 Pd 0.8540 0.2787 0.6899
7 Au 0.0213 0.3372 0.0591
8 Au 0.2214 0.4058 0.4382
9 Au 0.2908 0.0969 0.5695
10 Au 0.3303 0.7804 0.6898
11 Au 0.4155 0.4669 0.8161
12 Au 0.5845 0.5331 0.1839
13 Au 0.6697 0.2196 0.3102
14 Au 0.7092 0.9031 0.4305
15 Au 0.7786 0.5942 0.5618
16 Au 0.9787 0.6628 0.9409

Main lines, by intensity (10° ≤ 2θ ≤ 80°):
2θ (°)	I (rel.)
37.18	100
37.45	99
37.82	95
38.07	95
42.64	71
43.86	63
44.66	60
63.45	43
61.96	22
63.69	21

***

[6]
Starting from a cell relaxed with PBE, the X-ray powder pattern of Er10Tl3Te3 was simulated for Cu Ka.
Neutral-atom scattering factors, no anomalous dispersion.

Structural model:
a = 8.9254 Å, b = 8.9254 Å, c = 6.3690 Å
α = 90.00°, β = 90.00°, γ = 120.00°
Fractional positions:
1 Er 0.0000 0.2419 0.0000
2 Er 0.0000 0.7630 0.5000
3 Er 0.2370 0.2370 0.5000
4 Er 0.2419 0.0000 0.0000
5 Er 0.3333 0.6667 0.2511
6 Er 0.3333 0.6667 0.7489
7 Er 0.6667 0.3333 0.2511
8 Er 0.6667 0.3333 0.7489
9 Er 0.7581 0.7581 0.0000
10 Er 0.7630 0.0000 0.5000
11 Tl 0.0000 0.3921 0.5000
12 Tl 0.3921 0.0000 0.5000
13 Tl 0.6079 0.6079 0.5000
14 Te 0.0000 0.6119 0.0000
15 Te 0.3881 0.3881 0.0000
16 Te 0.6119 0.0000 0.0000

Main lines, by intensity (10° ≤ 2θ ≤ 80°):
2θ (°)	I (rel.)
33.75	100
34.60	76
34.82	43
30.60	30
53.34	27
49.91	19
28.02	19
67.33	19
30.36	15
69.38	12